BaAlCr4O7: theoretical XRD peak list (Cu Ka), based on the PBE+U geometry in Alexandria.
No peak broadening, texture or thermal motion is included.

Crystal structure
```
BaAlCr4O7
1.0
6.0853 0.0000 0.0000
-3.0427 5.2700 0.0000
0.0000 0.0000 10.4955
Ba Al Cr O
2 2 8 14
Direct
0.3333 0.6667 0.0000
0.6667 0.3333 0.5000
0.3333 0.6667 0.3901
0.6667 0.3333 0.8901
0.0000 0.0000 0.4793
0.0000 0.0000 0.9793
0.1616 0.3232 0.7039
0.1616 0.8384 0.7039
0.3232 0.1616 0.2039
0.6768 0.8384 0.7039
0.8384 0.1616 0.2039
0.8384 0.6768 0.2039
0.0000 0.0000 0.2986
0.0000 0.0000 0.7986
0.0196 0.5098 0.2868
0.1856 0.3711 0.5106
0.1856 0.8144 0.5106
0.3711 0.1856 0.0106
0.4902 0.5098 0.2868
0.4902 0.9804 0.2868
0.5098 0.0196 0.7868
0.5098 0.4902 0.7868
0.6289 0.8144 0.5106
0.8144 0.1856 0.0106
0.8144 0.6289 0.0106
0.9804 0.4902 0.7868
```

The 12 most intense peaks (15° ≤ 2θ ≤ 90°), by angle:
| d_spacing | I (rel.) | hkl |
| --- | --- | --- |
| 4.710 | 330 | 1 0 1 |
| 3.043 | 278 | 1 1 0 |
| 2.915 | 522 | 1 0 3 |
| 2.632 | 1000 | 1 1 2 |
| 2.624 | 311 | 0 0 4 |
| 2.556 | 891 | 2 0 1 |
| 1.731 | 273 | 2 1 3 |
| 1.666 | 227 | 3 0 2 |
| 1.642 | 377 | 2 0 5 |
| 1.521 | 319 | 2 2 0 |
| 1.316 | 172 | 2 2 4 |
| 1.123 | 126 | 4 1 2 |